Entry 1:
Zr3NiH3: calculated X-ray diffraction stick pattern (Cu Kα), based on a structure optimized by DFT (GGA-PBE).

Largest 10 diffraction maxima, sorted by position, 2θ from 10° to 80°:
| Position (°2θ) | I_rel |
| --- | --- |
| 31.6 | 26 |
| 35.4 | 100 |
| 38.9 | 58 |
| 56.2 | 12 |
| 58.8 | 22 |
| 61.2 | 29 |
| 65.9 | 14 |
| 75.0 | 8 |
| 77.1 | 20 |
| 79.3 | 7 |

```
data_Zr3NiH3
_cell_length_a 5.666
_cell_length_b 5.666
_cell_length_c 5.666
_cell_angle_alpha 90.00
_cell_angle_beta 90.00
_cell_angle_gamma 90.00
_space_group_name_H-M_alt 'P m -3 n'
_space_group_IT_number 223
_space_group_name_Hall '-P 4n 2 3'
loop_
_atom_site_label
_atom_site_type_symbol
_atom_site_fract_x
_atom_site_fract_y
_atom_site_fract_z
Zr1 Zr 0.000 0.250 0.500
Ni1 Ni 0.000 0.000 0.000
H1 H 0.000 0.500 0.250
```



Entry 2:
Cs3Cu2I2Cl4: calculated X-ray diffraction stick pattern (Cu Kα), based on a structure optimized by DFT (GGA-PBE).

Largest 10 diffraction maxima, sorted by position, 2θ from 10° to 80°:
| Position (°2θ) | I_rel |
| --- | --- |
| 24.8 | 100 |
| 25.5 | 24 |
| 27.5 | 73 |
| 30.8 | 93 |
| 35.3 | 85 |
| 43.7 | 35 |
| 45.3 | 36 |
| 50.8 | 29 |
| 57.4 | 51 |
| 60.6 | 25 |

```
data_Cs3Cu2I2Cl4
_cell_length_a 5.084
_cell_length_b 5.084
_cell_length_c 29.483
_cell_angle_alpha 90.00
_cell_angle_beta 90.00
_cell_angle_gamma 90.00
_space_group_name_H-M_alt 'I 4/m m m'
_space_group_IT_number 139
_space_group_name_Hall '-I 4 2'
loop_
_atom_site_label
_atom_site_type_symbol
_atom_site_fract_x
_atom_site_fract_y
_atom_site_fract_z
Cs1 Cs 0.000 0.000 0.000
Cs2 Cs 0.000 0.000 0.167
Cu1 Cu 0.000 0.000 0.398
I1 I 0.000 0.000 0.307
Cl1 Cl 0.000 0.500 0.084
```



Entry 3:
HoTiPd: calculated X-ray diffraction stick pattern (Cu Kα), based on a structure optimized by DFT (GGA-PBE).

Largest 10 diffraction maxima, sorted by position, 2θ from 10° to 80°:
| Position (°2θ) | I_rel |
| --- | --- |
| 21.3 | 14 |
| 29.7 | 28 |
| 29.8 | 14 |
| 36.9 | 100 |
| 43.5 | 11 |
| 52.9 | 16 |
| 53.5 | 17 |
| 66.0 | 12 |
| 70.7 | 10 |
| 75.4 | 9 |

```
data_HoTiPd
_cell_length_a 12.495
_cell_length_b 3.478
_cell_length_c 5.992
_cell_angle_alpha 90.00
_cell_angle_beta 90.00
_cell_angle_gamma 90.00
_space_group_name_H-M_alt 'A m m 2'
_space_group_IT_number 38
_space_group_name_Hall 'A 2 -2'
loop_
_atom_site_label
_atom_site_type_symbol
_atom_site_fract_x
_atom_site_fract_y
_atom_site_fract_z
Ho1 Ho 0.169 0.000 0.000
Ti1 Ti 0.369 0.000 0.665
Pd1 Pd 0.000 0.000 0.665
Pd2 Pd 0.500 0.000 0.999
```



Entry 4:
MnTlSeCl2: calculated X-ray diffraction stick pattern (Cu Kα), based on a structure optimized by DFT (GGA-PBE).

Largest 10 diffraction maxima, sorted by position, 2θ from 10° to 80°:
| Position (°2θ) | I_rel |
| --- | --- |
| 17.3 | 24 |
| 25.1 | 61 |
| 25.7 | 64 |
| 31.2 | 100 |
| 34.9 | 35 |
| 36.7 | 61 |
| 43.9 | 32 |
| 45.0 | 26 |
| 51.6 | 45 |
| 62.7 | 27 |

```
data_MnTlSeCl2
_cell_length_a 4.897
_cell_length_b 4.897
_cell_length_c 5.137
_cell_angle_alpha 90.00
_cell_angle_beta 90.00
_cell_angle_gamma 90.00
_space_group_name_H-M_alt 'P 4/m m m'
_space_group_IT_number 123
_space_group_name_Hall '-P 4 2'
loop_
_atom_site_label
_atom_site_type_symbol
_atom_site_fract_x
_atom_site_fract_y
_atom_site_fract_z
Mn1 Mn 0.000 0.000 0.000
Tl1 Tl 0.500 0.500 0.500
Se1 Se 0.000 0.000 0.500
Cl1 Cl 0.000 0.500 0.000
```



Entry 5:
SrAgSb2Pd5: calculated X-ray diffraction stick pattern (Cu Kα), based on a structure optimized by DFT (GGA-PBE).

Largest 10 diffraction maxima, sorted by position, 2θ from 10° to 80°:
| Position (°2θ) | I_rel |
| --- | --- |
| 11.2 | 27 |
| 28.6 | 23 |
| 33.7 | 48 |
| 34.0 | 29 |
| 35.3 | 100 |
| 38.5 | 21 |
| 49.8 | 39 |
| 50.7 | 35 |
| 62.3 | 17 |
| 62.5 | 20 |

```
data_SrAgSb2Pd5
_cell_length_a 5.091
_cell_length_b 5.091
_cell_length_c 7.902
_cell_angle_alpha 90.00
_cell_angle_beta 90.00
_cell_angle_gamma 90.00
_space_group_name_H-M_alt 'P 4/m m m'
_space_group_IT_number 123
_space_group_name_Hall '-P 4 2'
loop_
_atom_site_label
_atom_site_type_symbol
_atom_site_fract_x
_atom_site_fract_y
_atom_site_fract_z
Sr1 Sr 0.000 0.000 0.000
Ag1 Ag 0.000 0.000 0.500
Sb1 Sb 0.500 0.500 0.318
Pd1 Pd 0.000 0.500 0.313
Pd2 Pd 0.500 0.500 0.000
```